The following is a simulated powder XRD pattern of Li2V5B3O13. It was derived from DFT lattice parameters and positions (PBE+U), using λ = 1.5418 Å (Cu Kα).
Lines closer than 0.1° are merged.

```
data_Li2V5B3O13
_cell_length_a 9.606
_cell_length_b 3.235
_cell_length_c 15.111
_cell_angle_alpha 90.00
_cell_angle_beta 106.39
_cell_angle_gamma 90.00
_symmetry_space_group_name_H-M 'P 1'
_symmetry_Int_Tables_number 1
loop_
_symmetry_equiv_pos_as_xyz
'x,y,z'
loop_
_atom_site_label
_atom_site_fract_x
_atom_site_fract_y
_atom_site_fract_z
Li1 0.113 0.250 0.050
Li2 0.215 0.750 0.235
Li3 0.785 0.250 0.765
Li4 0.887 0.750 0.950
V1 0.022 0.250 0.315
V2 0.144 0.250 0.564
V3 0.313 0.250 0.795
V4 0.358 0.750 0.996
V5 0.463 0.750 0.638
V6 0.537 0.250 0.362
V7 0.642 0.250 0.004
V8 0.687 0.750 0.205
V9 0.856 0.750 0.436
V10 0.978 0.750 0.685
B1 0.091 0.750 0.880
B2 0.296 0.750 0.427
B3 0.405 0.250 0.179
B4 0.595 0.750 0.821
B5 0.704 0.250 0.573
B6 0.909 0.250 0.120
O1 0.011 0.750 0.564
O2 0.044 0.250 0.181
O3 0.112 0.250 0.704
O4 0.117 0.750 0.975
O5 0.170 0.750 0.351
O6 0.220 0.750 0.854
O7 0.277 0.750 0.515
O8 0.329 0.250 0.087
O9 0.343 0.250 0.249
O10 0.344 0.250 0.658
O11 0.426 0.250 0.935
O12 0.431 0.750 0.412
O13 0.443 0.750 0.789
O14 0.557 0.250 0.211
O15 0.569 0.250 0.588
O16 0.574 0.750 0.065
O17 0.656 0.750 0.342
O18 0.657 0.750 0.751
O19 0.671 0.750 0.913
O20 0.723 0.250 0.485
O21 0.780 0.250 0.146
O22 0.830 0.250 0.649
O23 0.883 0.250 0.025
O24 0.888 0.750 0.296
O25 0.956 0.750 0.819
O26 0.989 0.250 0.436
```

Top 8 peaks for 5 to 70 degrees two-theta, in order of falling intensity:
| Position (°2θ) | Rel. int. |
| --- | --- |
| 9.8 | 100.0 |
| 33.4 | 38.6 |
| 34.1 | 27.3 |
| 56.9 | 21.2 |
| 30.7 | 19.5 |
| 6.1 | 18.4 |
| 53.2 | 18.4 |
| 30.3 | 16.8 |